# 1
The following is a simulated powder XRD pattern of Tb6Er4Th. It was derived from a crystal structure in Alexandria, relaxed with GGA-PBE, using CuKα.

Peak list (10 most intense, 2θ from 15° to 90°, low angle first)
2θ 30.5, intensity 78; 2θ 30.8, intensity 61; 2θ 31.2, intensity 78; 2θ 32.1, intensity 100; 2θ 32.2, intensity 43; 2θ 33.5, intensity 53; 2θ 44.4, intensity 45; 2θ 56.1, intensity 21; 2θ 56.5, intensity 16; 2θ 67.1, intensity 16

Cell and atoms:
```
data_Tb6Er4Th
_chemical_formula_sum 'Tb12 Er8 Th2'
_cell_length_a 5.5873
_cell_length_b 5.5873
_cell_length_c 25.5507
_cell_angle_alpha 90.00
_cell_angle_beta 90.00
_cell_angle_gamma 118.35
_symmetry_space_group_name_H-M 'P 1'
_symmetry_Int_Tables_number 1
loop_
_symmetry_equiv_pos_as_xyz
'x,y,z'
loop_
_atom_site_label
_atom_site_type_symbol
_atom_site_fract_x
_atom_site_fract_y
_atom_site_fract_z
Tb1 Tb 0.0000 0.0000 0.0000
Tb2 Tb 0.0000 0.0000 0.5000
Tb3 Tb 0.0375 0.9625 0.7500
Tb4 Tb 0.3015 0.6985 0.1010
Tb5 Tb 0.3015 0.6985 0.3990
Tb6 Tb 0.3706 0.6294 0.6818
Tb7 Tb 0.3706 0.6294 0.8182
Tb8 Tb 0.6294 0.3706 0.1818
Tb9 Tb 0.6294 0.3706 0.3182
Tb10 Tb 0.6985 0.3015 0.6010
Tb11 Tb 0.6985 0.3015 0.8990
Tb12 Tb 0.9625 0.0375 0.2500
Er1 Er 0.0405 0.9595 0.6223
Er2 Er 0.0405 0.9595 0.8777
Er3 Er 0.3463 0.6537 0.5418
Er4 Er 0.3463 0.6537 0.9582
Er5 Er 0.6537 0.3463 0.0418
Er6 Er 0.6537 0.3463 0.4582
Er7 Er 0.9595 0.0405 0.1223
Er8 Er 0.9595 0.0405 0.3777
Th1 Th 0.2987 0.7013 0.2500
Th2 Th 0.7013 0.2987 0.7500
```

# 2
The following is a simulated powder XRD pattern of KSb. It was derived from a crystal structure in Alexandria, relaxed with GGA-PBE, using CuKα.

Peak list (10 most intense, 2θ from 15° to 90°, low angle first)
2θ 17.2, intensity 66; 2θ 27.9, intensity 58; 2θ 28.6, intensity 33; 2θ 29.7, intensity 100; 2θ 32.7, intensity 27; 2θ 33.5, intensity 41; 2θ 38.8, intensity 45; 2θ 42.8, intensity 27; 2θ 44.2, intensity 32; 2θ 59.3, intensity 26

Cell and atoms:
```
data_KSb
_chemical_formula_sum 'K8 Sb8'
_cell_length_a 11.5120
_cell_length_b 11.5120
_cell_length_c 5.3534
_cell_angle_alpha 90.00
_cell_angle_beta 90.00
_cell_angle_gamma 90.00
_symmetry_space_group_name_H-M 'P 1'
_symmetry_Int_Tables_number 1
loop_
_symmetry_equiv_pos_as_xyz
'x,y,z'
loop_
_atom_site_label
_atom_site_type_symbol
_atom_site_fract_x
_atom_site_fract_y
_atom_site_fract_z
K1 K 0.0967 0.7231 0.0000
K2 K 0.2769 0.0967 0.0000
K3 K 0.2858 0.6168 0.5000
K4 K 0.3832 0.2858 0.5000
K5 K 0.6168 0.7143 0.5000
K6 K 0.7143 0.3832 0.5000
K7 K 0.7231 0.9033 0.0000
K8 K 0.9033 0.2769 0.0000
Sb1 Sb 0.0645 0.3891 0.5000
Sb2 Sb 0.1855 0.4077 0.0000
Sb3 Sb 0.3891 0.9355 0.5000
Sb4 Sb 0.4077 0.8145 0.0000
Sb5 Sb 0.5923 0.1855 0.0000
Sb6 Sb 0.6109 0.0645 0.5000
Sb7 Sb 0.8145 0.5923 0.0000
Sb8 Sb 0.9355 0.6109 0.5000
```

# 3
The following is a simulated powder XRD pattern of Sr2CdIn6. It was derived from a crystal structure in Alexandria, relaxed with GGA-PBE, using CuKα.

Peak list (10 most intense, 2θ from 15° to 90°, low angle first)
2θ 27.3, intensity 21; 2θ 29.2, intensity 34; 2θ 29.5, intensity 22; 2θ 31.6, intensity 79; 2θ 31.7, intensity 46; 2θ 33.3, intensity 32; 2θ 35.4, intensity 100; 2θ 35.6, intensity 34; 2θ 38.1, intensity 30; 2θ 53.9, intensity 32

Cell and atoms:
```
data_Sr2CdIn6
_chemical_formula_sum 'Sr2 Cd1 In6'
_cell_length_a 6.8008
_cell_length_b 6.8008
_cell_length_c 6.8307
_cell_angle_alpha 104.24
_cell_angle_beta 104.24
_cell_angle_gamma 60.31
_symmetry_space_group_name_H-M 'P 1'
_symmetry_Int_Tables_number 1
loop_
_symmetry_equiv_pos_as_xyz
'x,y,z'
loop_
_atom_site_label
_atom_site_type_symbol
_atom_site_fract_x
_atom_site_fract_y
_atom_site_fract_z
Sr1 Sr 0.1491 0.1491 0.3443
Sr2 Sr 0.8509 0.8509 0.6557
Cd1 Cd 0.5000 0.5000 0.5000
In1 In 0.0898 0.6450 0.1700
In2 In 0.3550 0.9102 0.8300
In3 In 0.3758 0.3758 0.8231
In4 In 0.6242 0.6242 0.1769
In5 In 0.6450 0.0898 0.1700
In6 In 0.9102 0.3550 0.8300
```

# 4
The following is a simulated powder XRD pattern of TbTm5Pb5. It was derived from a crystal structure in Alexandria, relaxed with GGA-PBE, using CuKα.

Peak list (10 most intense, 2θ from 15° to 90°, low angle first)
2θ 28.7, intensity 100; 2θ 30.0, intensity 89; 2θ 30.3, intensity 84; 2θ 35.5, intensity 56; 2θ 42.0, intensity 72; 2θ 42.2, intensity 70; 2θ 46.3, intensity 54; 2θ 49.9, intensity 21; 2θ 58.6, intensity 27; 2θ 68.0, intensity 35

Cell and atoms:
```
data_TbTm5Pb5
_chemical_formula_sum 'Tb1 Tm5 Pb5'
_cell_length_a 8.3834
_cell_length_b 8.3834
_cell_length_c 7.3143
_cell_angle_alpha 102.04
_cell_angle_beta 102.04
_cell_angle_gamma 43.55
_symmetry_space_group_name_H-M 'P 1'
_symmetry_Int_Tables_number 1
loop_
_symmetry_equiv_pos_as_xyz
'x,y,z'
loop_
_atom_site_label
_atom_site_type_symbol
_atom_site_fract_x
_atom_site_fract_y
_atom_site_fract_z
Tb1 Tb 0.0000 0.0000 0.0000
Tm1 Tm 0.0000 0.0000 0.5000
Tm2 Tm 0.3349 0.3349 0.1631
Tm3 Tm 0.3439 0.3439 0.6616
Tm4 Tm 0.6561 0.6561 0.3384
Tm5 Tm 0.6651 0.6651 0.8369
Pb1 Pb 0.1684 0.1684 0.3419
Pb2 Pb 0.1697 0.1697 0.8209
Pb3 Pb 0.5000 0.5000 0.0000
Pb4 Pb 0.8303 0.8303 0.1791
Pb5 Pb 0.8316 0.8316 0.6581
```

# 5
The following is a simulated powder XRD pattern of Tl2Hg6H. It was derived from a crystal structure in Alexandria, relaxed with GGA-PBE, using CuKα.

Peak list (10 most intense, 2θ from 15° to 90°, low angle first)
2θ 22.0, intensity 13; 2θ 27.9, intensity 14; 2θ 33.3, intensity 100; 2θ 34.0, intensity 76; 2θ 44.0, intensity 23; 2θ 48.4, intensity 28; 2θ 59.6, intensity 18; 2θ 60.0, intensity 28; 2θ 68.3, intensity 26; 2θ 87.7, intensity 13

Cell and atoms:
```
data_Tl2Hg6H
_chemical_formula_sum 'Tl2 Hg6 H1'
_cell_length_a 9.3137
_cell_length_b 9.3137
_cell_length_c 3.1938
_cell_angle_alpha 90.00
_cell_angle_beta 90.00
_cell_angle_gamma 120.00
_symmetry_space_group_name_H-M 'P 1'
_symmetry_Int_Tables_number 1
loop_
_symmetry_equiv_pos_as_xyz
'x,y,z'
loop_
_atom_site_label
_atom_site_type_symbol
_atom_site_fract_x
_atom_site_fract_y
_atom_site_fract_z
Tl1 Tl 0.3333 0.6667 0.0000
Tl2 Tl 0.6667 0.3333 0.0000
Hg1 Hg 0.0000 0.3167 0.5000
Hg2 Hg 0.0000 0.6833 0.5000
Hg3 Hg 0.3167 0.0000 0.5000
Hg4 Hg 0.3167 0.3167 0.5000
Hg5 Hg 0.6833 0.0000 0.5000
Hg6 Hg 0.6833 0.6833 0.5000
H1 H 0.0000 0.0000 0.0000
```